1.
Theoretical powder diffractogram of Ti2MnO4 for CuKα, from a DFT-relaxed cell (PBE+U, the Materials Project).
No peak broadening, texture or thermal motion is included.

Structure:
a = 10.586 Å, b = 6.113 Å, c = 10.627 Å
α = 90.00°, β = 109.47°, γ = 90.00°
Space group Cm (No. 8)
One atom of each set of equivalent atoms:
Ti1 0.000 0.000 0.000
Ti2 0.000 0.500 0.499
Ti3 0.001 0.254 0.749
Ti4 0.247 0.500 0.749
Ti5 0.253 0.000 0.251
Ti6 0.499 0.246 0.251
Mn1 0.186 0.000 0.558
Mn2 0.188 0.500 0.066
Mn3 0.312 0.000 0.934
Mn4 0.314 0.500 0.441
O1 0.106 0.000 0.869
O2 0.110 0.500 0.369
O3 0.118 0.000 0.355
O4 0.118 0.224 0.131
O5 0.120 0.271 0.630
O6 0.120 0.500 0.862
O7 0.380 0.000 0.138
O8 0.380 0.230 0.369
O9 0.381 0.276 0.869
O10 0.382 0.500 0.645
O11 0.390 0.000 0.630
O12 0.394 0.500 0.131

Main lines, low angle first (2θ from 15° to 90°):
- (2 0 0), 17.75°, d 4.997, I 12
- (0 2 0), 29.18°, d 3.060, I 63
- (0 2 2), 34.34°, d 2.612, I 100
- (3 1 1), 34.40°, d 2.607, I 71
- (2 2 2), 41.74°, d 2.164, I 33
- (6 0 -2), 51.78°, d 1.766, I 15
- (2 2 4), 55.14°, d 1.666, I 46
- (3 3 1), 55.20°, d 1.664, I 12
- (4 0 4), 60.42°, d 1.532, I 41
- (0 4 0), 60.59°, d 1.528, I 41

2.
Theoretical powder diffractogram of SrGdCoO4 for CuKα, from a DFT-relaxed cell (PBE+U, the Materials Project).
No peak broadening, texture or thermal motion is included.

Structure:
a = 5.347 Å, b = 12.115 Å, c = 5.375 Å
α = 90.00°, β = 90.00°, γ = 90.00°
Space group Cmcm (No. 63)
One atom of each set of equivalent atoms:
Sr1 0.000 0.104 0.250
Gd1 0.000 0.384 0.250
Co1 0.000 0.251 0.750
O1 0.000 0.093 0.750
O2 0.000 0.427 0.750
O3 0.250 0.250 0.000

Main lines, low angle first (2θ from 15° to 90°):
- (1 1 1), 24.61°, d 3.618, I 20
- (1 3 1), 32.39°, d 2.764, I 100
- (0 0 2), 33.34°, d 2.688, I 38
- (2 0 0), 33.52°, d 2.673, I 38
- (1 5 1), 44.37°, d 2.042, I 19
- (0 4 2), 45.10°, d 2.010, I 16
- (2 4 0), 45.24°, d 2.004, I 16
- (2 0 2), 48.00°, d 1.895, I 39
- (1 3 3), 58.98°, d 1.566, I 18
- (3 3 1), 59.22°, d 1.560, I 18

3.
Theoretical powder diffractogram of MgFe6O7F5 for CuKα, from a DFT-relaxed cell (PBE+U, the Materials Project).
No peak broadening, texture or thermal motion is included.

Structure:
a = 5.186 Å, b = 5.303 Å, c = 8.962 Å
α = 89.99°, β = 88.97°, γ = 77.04°
Space group P1 (No. 1)
One atom of each set of equivalent atoms:
Mg1 0.000 0.000 0.000
Fe1 0.052 0.554 0.487
Fe2 0.088 0.522 0.140
Fe3 0.454 0.948 0.620
Fe4 0.505 0.891 0.298
Fe5 0.510 0.959 0.972
Fe6 0.977 0.454 0.803
O1 0.200 0.271 0.978
O2 0.211 0.293 0.639
O3 0.294 0.789 0.135
O4 0.302 0.779 0.465
O5 0.794 0.685 0.649
O6 0.836 0.630 0.306
O7 0.852 0.690 0.973
F1 0.248 0.273 0.303
F2 0.291 0.823 0.804
F3 0.653 0.083 0.462
F4 0.704 0.107 0.149
F5 0.756 0.188 0.838

Main lines, low angle first (2θ from 15° to 90°):
- (0 1 0), 17.16°, d 5.168, I 16
- (1 1 0), 21.67°, d 4.102, I 100
- (1 -1 0), 27.31°, d 3.265, I 70
- (0 1 -3), 34.62°, d 2.591, I 39
- (0 1 3), 34.74°, d 2.582, I 30
- (1 0 -3), 35.18°, d 2.551, I 18
- (1 2 -3), 47.03°, d 1.932, I 19
- (2 1 -3), 47.80°, d 1.903, I 16
- (-2 1 3), 53.93°, d 1.700, I 18
- (0 0 6), 62.13°, d 1.494, I 21